Record 1
In10Ga3Sn: computed PXRD pattern (Cu Kα, 1.54184 Å), based on a DFT-relaxed cell (GGA-PBE, Alexandria).

Cell and atoms:
```
data_In10Ga3Sn
_chemical_formula_sum 'In80 Ga24 Sn8'
_space_group_name_H-M_alt 'F m -3 m'
_space_group_IT_number 225
_space_group_name_Hall '-F 4 2 3'
_cell_length_a 14.504
_cell_length_b 14.504
_cell_length_c 14.504
_cell_angle_alpha 90.00
_cell_angle_beta 90.00
_cell_angle_gamma 90.00
loop_
_atom_site_label
_atom_site_type_symbol
_atom_site_fract_x
_atom_site_fract_y
_atom_site_fract_z
In1 In 0.000 0.172 0.172
In2 In 0.127 0.127 0.373
Ga1 Ga 0.000 0.000 0.277
Sn1 Sn 0.250 0.250 0.250
```

Peak list (8 most intense, 15 to 90 degrees two-theta, in order of rising 2θ)
27.5°, I = 18, hkl 4 2 0
32.1°, I = 100, hkl 3 3 3
35.0°, I = 40, hkl 4 4 0
36.7°, I = 50, hkl 5 3 1
37.2°, I = 22, hkl 6 0 0
41.3°, I = 29, hkl 6 2 2
53.6°, I = 22, hkl 6 6 0
62.8°, I = 27, hkl 8 4 4

Record 2
In6Ga3Sn: computed PXRD pattern (Cu Kα, 1.54184 Å), based on a DFT-relaxed cell (GGA-PBE, Alexandria).

Cell and atoms:
```
data_In6Ga3Sn
_chemical_formula_sum 'In18 Ga9 Sn3'
_space_group_name_H-M_alt 'R 3'
_space_group_IT_number 146
_space_group_name_Hall 'R 3'
_cell_length_a 8.8935
_cell_length_b 8.8935
_cell_length_c 11.0604
_cell_angle_alpha 90.00
_cell_angle_beta 90.00
_cell_angle_gamma 120.00
loop_
_atom_site_label
_atom_site_type_symbol
_atom_site_fract_x
_atom_site_fract_y
_atom_site_fract_z
In1 In 0.9997 0.3537 0.0000
In2 In 0.9997 0.6554 0.4999
Ga1 Ga 0.0000 0.0000 0.2607
Ga2 Ga 0.0000 0.0000 0.5013
Ga3 Ga 0.0000 0.0000 0.7418
Sn1 Sn 0.0000 0.0000 0.0010
```

Peak list (8 most intense, 15 to 90 degrees two-theta, in order of rising 2θ)
31.5°, I = 93, hkl 1 1 3
34.9°, I = 100, hkl 3 0 0
40.1°, I = 12, hkl 0 2 4
45.2°, I = 11, hkl 3 -1 4
47.8°, I = 27, hkl 4 -2 3
60.5°, I = 24, hkl 4 1 3
62.0°, I = 19, hkl 3 0 6
62.7°, I = 17, hkl 3 3 0

Record 3
In9Ga2Sn: computed PXRD pattern (Cu Kα, 1.54184 Å), based on a DFT-relaxed cell (GGA-PBE, Alexandria).

Cell and atoms:
```
data_In9Ga2Sn
_chemical_formula_sum 'In9 Ga2 Sn1'
_space_group_name_H-M_alt 'P -1'
_space_group_IT_number 2
_cell_length_a 4.490
_cell_length_b 4.490
_cell_length_c 15.388
_cell_angle_alpha 89.81
_cell_angle_beta 89.26
_cell_angle_gamma 89.96
loop_
_space_group_symop_operation_xyz
'x,y,z'
'-x,-y,-z'
loop_
_atom_site_label
_atom_site_type_symbol
_atom_site_fract_x
_atom_site_fract_y
_atom_site_fract_z
In1 In 0.000 0.000 0.000
In2 In 0.000 0.500 0.500
In3 In 0.002 0.001 0.674
In4 In 0.003 0.501 0.836
In5 In 0.497 0.500 0.326
In6 In 0.500 0.500 0.000
Ga1 Ga 0.497 0.999 0.163
Sn1 Sn 0.500 0.000 0.500
```

Peak list (8 most intense, 15 to 90 degrees two-theta, in order of rising 2θ)
33.0°, I = 100, hkl 1 1 3
33.3°, I = 98, hkl 1 1 -3
35.0°, I = 42, hkl 0 0 6
40.2°, I = 59, hkl 2 0 0
53.9°, I = 12, hkl 2 0 6
54.2°, I = 12, hkl 0 2 6
58.1°, I = 19, hkl 2 2 0
68.3°, I = 12, hkl 3 1 3

Record 4
In9GaSn2: computed PXRD pattern (Cu Kα, 1.54184 Å), based on a DFT-relaxed cell (GGA-PBE, Alexandria).

Cell and atoms:
```
data_In9GaSn2
_chemical_formula_sum 'In9 Ga1 Sn2'
_space_group_name_H-M_alt 'P m m m'
_space_group_IT_number 47
_cell_length_a 4.825
_cell_length_b 5.133
_cell_length_c 12.952
_cell_angle_alpha 90.00
_cell_angle_beta 90.00
_cell_angle_gamma 90.00
loop_
_space_group_symop_operation_xyz
'x,y,z'
'-x,-y,-z'
'-x,-y,z'
'x,y,-z'
'x,-y,-z'
'-x,y,z'
'-x,y,-z'
'x,-y,z'
loop_
_atom_site_label
_atom_site_type_symbol
_atom_site_fract_x
_atom_site_fract_y
_atom_site_fract_z
In1 In 0.000 0.000 0.000
In2 In 0.000 0.000 0.332
In3 In 0.000 0.500 0.156
In4 In 0.000 0.500 0.500
In5 In 0.500 0.000 0.161
In6 In 0.500 0.000 0.500
Ga1 Ga 0.500 0.500 0.000
Sn1 Sn 0.500 0.500 0.326
```

Peak list (8 most intense, 15 to 90 degrees two-theta, in order of rising 2θ)
32.9°, I = 100, hkl 1 1 3
35.0°, I = 21, hkl 0 2 0
37.3°, I = 18, hkl 2 0 0
41.8°, I = 12, hkl 0 0 6
52.0°, I = 13, hkl 2 2 0
61.4°, I = 16, hkl 1 3 3
64.4°, I = 14, hkl 3 1 3
68.9°, I = 11, hkl 2 2 6

Record 5
In12Ga3Sn: computed PXRD pattern (Cu Kα, 1.54184 Å), based on a DFT-relaxed cell (GGA-PBE, Alexandria).

Cell and atoms:
```
data_In12Ga3Sn
_chemical_formula_sum 'In12 Ga3 Sn1'
_space_group_name_H-M_alt 'P m m m'
_space_group_IT_number 47
_cell_length_a 4.542
_cell_length_b 5.140
_cell_length_c 17.610
_cell_angle_alpha 90.00
_cell_angle_beta 90.00
_cell_angle_gamma 90.00
loop_
_space_group_symop_operation_xyz
'x,y,z'
'-x,-y,-z'
'-x,-y,z'
'x,y,-z'
'x,-y,-z'
'-x,y,z'
'-x,y,-z'
'x,-y,z'
loop_
_atom_site_label
_atom_site_type_symbol
_atom_site_fract_x
_atom_site_fract_y
_atom_site_fract_z
In1 In 0.000 0.000 0.000
In2 In 0.000 0.000 0.247
In3 In 0.000 0.000 0.500
In4 In 0.000 0.500 0.122
In5 In 0.000 0.500 0.365
In6 In 0.500 0.000 0.123
In7 In 0.500 0.000 0.371
Ga1 Ga 0.500 0.500 0.000
Ga2 Ga 0.500 0.500 0.243
Sn1 Sn 0.500 0.500 0.500
```

Peak list (8 most intense, 15 to 90 degrees two-theta, in order of rising 2θ)
33.3°, I = 100, hkl 1 1 4
34.9°, I = 22, hkl 0 2 0
39.7°, I = 16, hkl 2 0 0
41.0°, I = 13, hkl 0 0 8
53.9°, I = 12, hkl 2 2 0
61.6°, I = 16, hkl 1 3 4
68.0°, I = 12, hkl 3 1 4
69.8°, I = 20, hkl 2 2 8

Record 6
InGa2Sn2: computed PXRD pattern (Cu Kα, 1.54184 Å), based on a DFT-relaxed cell (GGA-PBE, Alexandria).

Cell and atoms:
```
data_InGa2Sn2
_chemical_formula_sum 'In4 Ga8 Sn8'
_space_group_name_H-M_alt 'C 1 2/c 1'
_space_group_IT_number 15
_cell_length_a 11.027
_cell_length_b 8.958
_cell_length_c 6.440
_cell_angle_alpha 90.00
_cell_angle_beta 124.68
_cell_angle_gamma 90.00
loop_
_space_group_symop_operation_xyz
'x,y,z'
'-x,-y,-z'
'-x,y,-z+1/2'
'x,-y,z+1/2'
'x+1/2,y+1/2,z'
'-x+1/2,-y+1/2,-z'
'-x+1/2,y+1/2,-z+1/2'
'x+1/2,-y+1/2,z+1/2'
loop_
_atom_site_label
_atom_site_type_symbol
_atom_site_fract_x
_atom_site_fract_y
_atom_site_fract_z
In1 In 0.000 0.143 0.250
Ga1 Ga 0.000 0.168 0.750
Ga2 Ga 0.000 0.496 0.250
Sn1 Sn 0.209 0.343 0.194
```

Peak list (8 most intense, 15 to 90 degrees two-theta, in order of rising 2θ)
26.1°, I = 36, hkl 0 2 1
26.2°, I = 100, hkl 2 2 -1
31.5°, I = 31, hkl 1 3 0
33.9°, I = 71, hkl 0 0 2
34.5°, I = 82, hkl 4 0 -2
39.8°, I = 35, hkl 4 0 0
42.3°, I = 48, hkl 1 3 -2
42.6°, I = 92, hkl 3 3 0

Record 7
In3Ga4Sn2: computed PXRD pattern (Cu Kα, 1.54184 Å), based on a DFT-relaxed cell (GGA-PBE, Alexandria).

Cell and atoms:
```
data_In3Ga4Sn2
_chemical_formula_sum 'In3 Ga4 Sn2'
_space_group_name_H-M_alt 'P -1'
_space_group_IT_number 2
_cell_length_a 5.117
_cell_length_b 5.861
_cell_length_c 8.105
_cell_angle_alpha 100.95
_cell_angle_beta 90.46
_cell_angle_gamma 115.54
loop_
_space_group_symop_operation_xyz
'x,y,z'
'-x,-y,-z'
loop_
_atom_site_label
_atom_site_type_symbol
_atom_site_fract_x
_atom_site_fract_y
_atom_site_fract_z
In1 In 0.000 0.000 0.000
In2 In 0.426 0.925 0.707
Ga1 Ga 0.061 0.206 0.648
Ga2 Ga 0.295 0.592 0.971
Sn1 Sn 0.274 0.468 0.339
```

Peak list (8 most intense, 15 to 90 degrees two-theta, in order of rising 2θ)
31.2°, I = 13, hkl -1 1 2
31.3°, I = 16, hkl 1 0 2
34.0°, I = 37, hkl 0 0 3
35.1°, I = 36, hkl 2 -1 0
35.2°, I = 100, hkl 1 1 -2
35.5°, I = 40, hkl 1 -2 2
49.8°, I = 11, hkl 2 -1 3
51.9°, I = 10, hkl 0 3 -1

Record 8
In16GaSn12: computed PXRD pattern (Cu Kα, 1.54184 Å), based on a DFT-relaxed cell (GGA-PBE, Alexandria).

Cell and atoms:
```
data_In16GaSn12
_chemical_formula_sum 'In32 Ga2 Sn24'
_space_group_name_H-M_alt 'C 1 m 1'
_space_group_IT_number 8
_cell_length_a 11.700
_cell_length_b 17.097
_cell_length_c 9.585
_cell_angle_alpha 90.00
_cell_angle_beta 122.58
_cell_angle_gamma 90.00
loop_
_space_group_symop_operation_xyz
'x,y,z'
'x,-y,z'
'x+1/2,y+1/2,z'
'x+1/2,-y+1/2,z'
loop_
_atom_site_label
_atom_site_type_symbol
_atom_site_fract_x
_atom_site_fract_y
_atom_site_fract_z
In1 In 0.000 0.000 0.000
In2 In 0.002 0.000 0.359
In3 In 0.075 0.333 0.412
In4 In 0.154 0.500 0.646
In5 In 0.164 0.148 0.604
In6 In 0.171 0.170 0.991
In7 In 0.301 0.289 0.307
In8 In 0.412 0.000 0.738
In9 In 0.461 0.148 0.017
In10 In 0.487 0.206 0.694
Ga1 Ga 0.216 0.500 0.292
Sn1 Sn 0.017 0.173 0.196
Sn2 Sn 0.196 0.000 0.849
Sn3 Sn 0.212 0.409 0.004
Sn4 Sn 0.306 0.094 0.388
Sn5 Sn 0.306 0.305 0.804
Sn6 Sn 0.398 0.405 0.608
Sn7 Sn 0.443 0.000 0.219
```

Peak list (8 most intense, 15 to 90 degrees two-theta, in order of rising 2θ)
31.4°, I = 47, hkl 0 6 0
31.6°, I = 50, hkl 1 5 1
32.2°, I = 100, hkl 1 3 2
32.5°, I = 41, hkl 4 2 -2
33.3°, I = 70, hkl 1 3 -3
33.5°, I = 59, hkl 3 3 -3
35.1°, I = 45, hkl 2 6 -1
38.1°, I = 38, hkl 3 1 -4

Record 9
In4GaSn5: computed PXRD pattern (Cu Kα, 1.54184 Å), based on a DFT-relaxed cell (GGA-PBE, Alexandria).

Cell and atoms:
```
data_In4GaSn5
_chemical_formula_sum 'In8 Ga2 Sn10'
_space_group_name_H-M_alt 'C m m m'
_space_group_IT_number 65
_space_group_name_Hall '-C 2 2'
_cell_length_a 4.570
_cell_length_b 5.136
_cell_length_c 22.688
_cell_angle_alpha 90.00
_cell_angle_beta 90.00
_cell_angle_gamma 90.00
loop_
_atom_site_label
_atom_site_type_symbol
_atom_site_fract_x
_atom_site_fract_y
_atom_site_fract_z
In1 In 0.000 0.000 0.103
In2 In 0.000 0.000 0.307
Ga1 Ga 0.000 0.000 0.500
Sn1 Sn 0.000 0.500 0.000
Sn2 Sn 0.000 0.500 0.205
Sn3 Sn 0.000 0.500 0.411
```

Peak list (8 most intense, 15 to 90 degrees two-theta, in order of rising 2θ)
32.8°, I = 100, hkl 1 1 5
34.9°, I = 22, hkl 0 2 0
39.4°, I = 16, hkl 2 0 0
39.7°, I = 13, hkl 0 0 10
53.7°, I = 13, hkl 2 2 0
53.9°, I = 11, hkl 0 2 10
61.3°, I = 17, hkl 1 3 5
67.4°, I = 13, hkl 3 1 5